# 1
Structure and calculated powder diffraction line list of Pr2H2BrCl3 (the GGA-PBE geometry in OQMD; CuKα).
Peak positions follow from Bragg's law for the DFT cell and can differ from measured ones.

Cell and atoms:
Unit cell a=3.9818 b=3.9818 c=13.7135 alpha=90.00 beta=90.00 gamma=120.00
Positions (direct):
Pr 0.0000 0.0000 0.0000
Pr 0.0000 0.0000 0.4947
H 0.3333 0.6667 0.9969
H 0.6667 0.3333 0.4952
Br 0.6667 0.3333 0.8555
Cl 0.3333 0.6667 0.3654
Cl 0.3333 0.6667 0.6244
Cl 0.6667 0.3333 0.1293

Principal peaks in the range 2θ from 5° to 70°, in order of falling intensity:
2θ/deg	d (Å)	I/Imax
28.98	3.081	100
12.91	6.857	89
36.97	2.431	82
45.56	1.991	36
25.84	3.448	27
47.56	1.912	20
60.06	1.540	19
26.66	3.344	19

---

# 2
Structure and calculated powder diffraction line list of U2H2Br3Cl (the GGA-PBE geometry in OQMD; CuKα).
Peak positions follow from Bragg's law for the DFT cell and can differ from measured ones.

Cell and atoms:
Unit cell a=3.7990 b=3.7990 c=14.5203 alpha=90.00 beta=90.00 gamma=120.00
Positions (direct):
U 0.0000 0.0000 0.0000
U 0.0000 0.0000 0.4951
H 0.3333 0.6667 0.4955
H 0.6667 0.3333 0.9978
Br 0.3333 0.6667 0.8612
Br 0.6667 0.3333 0.3562
Br 0.6667 0.3333 0.6340
Cl 0.3333 0.6667 0.1255

Principal peaks in the range 2θ from 5° to 70°, in order of falling intensity:
2θ/deg	d (Å)	I/Imax
12.19	7.260	100
29.81	2.997	100
36.87	2.438	88
47.89	1.899	33
27.10	3.290	27
46.59	1.949	21
61.93	1.498	20
49.61	1.838	20

---

# 3
Structure and calculated powder diffraction line list of HfBr2Cl4O4 (the GGA-PBE geometry in OQMD; CuKα).
Peak positions follow from Bragg's law for the DFT cell and can differ from measured ones.

Cell and atoms:
Unit cell a=6.8099 b=6.9222 c=6.9592 alpha=117.13 beta=102.27 gamma=107.34
Positions (direct):
Hf 0.0000 0.0000 0.0000
Br 0.2523 0.4749 0.3208
Br 0.7477 0.5251 0.6792
Cl 0.1892 0.9123 0.2599
Cl 0.2614 0.9676 0.8144
Cl 0.7386 0.0324 0.1856
Cl 0.8108 0.0877 0.7401
O 0.3645 0.5202 0.8710
O 0.4472 0.3852 0.7859
O 0.5528 0.6148 0.2141
O 0.6355 0.4798 0.1290

Principal peaks in the range 2θ from 5° to 70°, in order of falling intensity:
2θ/deg	d (Å)	I/Imax
14.97	5.916	100
16.66	5.322	86
20.57	4.317	71
16.28	5.445	64
33.04	2.711	54
32.63	2.744	51
27.66	3.225	39
15.69	5.649	37